Structure and calculated XRD peak list of YbGaCoO4 (a structure optimized by DFT (PBE+U); Cu Kα).
Kinematic intensities with the Lorentz-polarization factor, no thermal factor.

Cell and atoms:
```
7
Lattice="1.7412 1.0053 8.3755 -1.7412 1.0053 8.3755 0.0000 -2.0106 8.3755" Properties=species:S:1:pos:R:3 pbc="T T T"
Yb 0.0000 0.0000 0.0000
Ga 0.0000 0.0000 5.3627
Co 0.0000 0.0000 19.7491
O 0.0000 0.0000 3.4081
O 0.0000 0.0000 7.2421
O 0.0000 0.0000 17.8279
O 0.0000 0.0000 21.9545
```

Largest 10 diffraction maxima, most intense first, 2θ from 10° to 90°:
d/Å	I (rel.)
2.994	100
2.719	94
2.586	85
1.741	57
8.375	48
2.792	46
1.930	45
1.477	39
4.188	36
1.542	34